[1]
The following is a computed X-ray diffraction stick pattern of DyY2Co2C2N3. It was derived from a PBE-relaxed structure, using CuKα.
No peak broadening, texture or thermal motion is included.

Structure:
```
10
Lattice="-1.7252 1.7252 9.7019 1.7252 -1.7252 9.7019 1.7252 1.7252 -9.7019" Properties=species:S:1:pos:R:3 pbc="T T T"
Dy 0.0000 0.0000 0.0000
Y 0.0000 0.0000 7.2381
Y 0.0000 0.0000 12.1657
Co 1.7252 0.0000 4.8509
Co 0.0000 1.7252 4.8509
C 0.0000 0.0000 3.7609
C 0.0000 0.0000 15.6428
N 0.0000 0.0000 2.3353
N 0.0000 0.0000 9.7019
N 0.0000 0.0000 17.0685
```

Top 12 peaks for 10 to 80 degrees two-theta, in order of rising 2θ:
Position (°2θ)	I_rel
29.3	100
34.8	78
36.8	36
37.1	54
38.0	67
46.6	47
53.1	43
53.3	18
58.8	21
61.8	27
65.0	25
66.5	36

=====

[2]
The following is a computed X-ray diffraction stick pattern of Y2ZnN. It was derived from a PBE-relaxed structure, using CuKα.
No peak broadening, texture or thermal motion is included.

Structure:
```
8
Lattice="3.5088 0.0000 0.0000 -1.7544 3.0387 0.0000 0.0000 0.0000 14.8317" Properties=species:S:1:pos:R:3 pbc="T T T"
Y 0.0000 2.0258 1.3627
Y 0.0000 2.0258 6.0531
Y 1.7544 1.0129 8.7785
Y 1.7544 1.0129 13.4689
Zn 0.0000 2.0258 11.1237
Zn 1.7544 1.0129 3.7079
N 0.0000 0.0000 0.0000
N 0.0000 0.0000 7.4158
```

Top 12 peaks for 10 to 80 degrees two-theta, in order of rising 2θ:
Position (°2θ)	I_rel
29.4	21
34.6	100
36.3	16
38.3	2
47.4	15
52.1	22
61.0	3
64.1	16
64.3	13
65.2	17
73.1	4
77.2	2

=====

[3]
The following is a computed X-ray diffraction stick pattern of Dy2TmCo9. It was derived from a PBE-relaxed structure, using CuKα.
No peak broadening, texture or thermal motion is included.

Structure:
```
12
Lattice="2.4620 1.4214 8.0794 -2.4620 1.4214 8.0794 0.0000 -2.8428 8.0794" Properties=species:S:1:pos:R:3 pbc="T T T"
Dy 0.0000 0.0000 3.3814
Dy 0.0000 0.0000 20.8568
Tm 0.0000 0.0000 0.0000
Co -1.2403 -0.7161 10.0406
Co 0.0000 0.0000 8.1136
Co 0.0000 -1.4322 14.1976
Co -1.2403 0.7161 14.1976
Co 0.0000 0.0000 12.1191
Co 1.2403 -0.7161 10.0406
Co 0.0000 1.4322 10.0406
Co 0.0000 0.0000 16.1246
Co 1.2403 0.7161 14.1976
```

Top 12 peaks for 10 to 80 degrees two-theta, in order of rising 2θ:
Position (°2θ)	I_rel
21.2	13
33.3	50
36.4	42
36.5	52
42.6	37
43.0	100
63.7	15
65.6	24
69.6	12
70.0	13
70.2	21
77.5	19

=====

- What is the formula in the second record?
  Y2ZnN